1.
Computed XRD peak list
Compound: PaGeRhO
Radiation: Cu Kα
Structure: a DFT-relaxed cell (PBE, Alexandria)
Peak positions follow from Bragg's law for the DFT cell and can differ from measured ones.

Principal peaks in the range 2θ from 10° to 80°, by angle:
two_theta	d/Å	intensity	(hkl)
24.8	3.593	38	1 0 1
31.4	2.851	23	1 1 0
31.7	2.825	100	1 0 2
33.4	2.682	39	1 1 1
38.9	2.314	55	1 1 2
45.0	2.016	48	2 0 0
56.0	1.641	41	2 1 2
56.6	1.626	23	1 1 4

```
data_PaGeRhO
_chemical_formula_sum 'Pa2 Ge2 Rh2 O2'
_cell_length_a 4.031
_cell_length_b 4.031
_cell_length_c 7.920
_cell_angle_alpha 90.00
_cell_angle_beta 90.00
_cell_angle_gamma 90.00
_symmetry_space_group_name_H-M 'P 4/n m m'
_symmetry_Int_Tables_number 129
loop_
_symmetry_equiv_pos_as_xyz
'x,y,z'
'-x,-y,-z'
'-y+1/2,x,z'
'y+1/2,-x,-z'
'-x+1/2,-y+1/2,z'
'x+1/2,y+1/2,-z'
'y,-x+1/2,z'
'-y,x+1/2,-z'
'x+1/2,-y,-z'
'-x+1/2,y,z'
'-y,-x,-z'
'y,x,z'
'-x,y+1/2,-z'
'x,-y+1/2,z'
'y+1/2,x+1/2,-z'
'-y+1/2,-x+1/2,z'
loop_
_atom_site_label
_atom_site_type_symbol
_atom_site_fract_x
_atom_site_fract_y
_atom_site_fract_z
Pa1 Pa 0.250 0.250 0.158
Ge1 Ge 0.250 0.250 0.678
Rh1 Rh 0.250 0.750 0.500
O1 O 0.250 0.750 0.000
```


2.
Computed XRD peak list
Compound: K2ZnC4N4
Radiation: Cu Kα
Structure: a DFT-relaxed cell (PBE, Alexandria)
Peak positions follow from Bragg's law for the DFT cell and can differ from measured ones.

Principal peaks in the range 2θ from 10° to 80°, by angle:
two_theta	d/Å	intensity	(hkl)
19.8	4.484	57	2 2 0
23.3	3.824	100	3 1 1
28.1	3.171	15	4 0 0
34.6	2.589	16	4 2 2
36.8	2.441	36	3 3 3
40.2	2.242	56	4 4 0
54.1	1.695	16	6 4 2
55.7	1.651	22	5 5 3

Cell lengths 12.683, 12.683, 12.683 Å; angles 90.00, 90.00, 90.00 degrees
Space group Fd-3m (No. 227, origin choice 2)
Inequivalent atoms, fractional coordinates:
K (0.000, 0.000, 0.000) (multiplicity 16)
Zn (0.125, 0.125, 0.625) (multiplicity 8)
C (0.033, 0.033, 0.717) (multiplicity 32)
N (0.020, 0.020, 0.230) (multiplicity 32)